Starting from a structure optimized by DFT (GGA+U), the X-ray diffraction stick pattern of LiPWO4 was computed for Cu Kα, 1.54184 Å.
Lines closer than 0.1° are merged.

```
data_LiPWO4
_symmetry_space_group_name_H-M 'P n m a'
_symmetry_Int_Tables_number 62
_cell_length_a 11.1889
_cell_length_b 6.1336
_cell_length_c 4.6964
_cell_angle_alpha 90.00
_cell_angle_beta 90.00
_cell_angle_gamma 90.00
loop_
_symmetry_equiv_pos_as_xyz
'x,y,z'
'-x,-y,-z'
'-x+1/2,-y,z+1/2'
'x+1/2,y,-z+1/2'
'x+1/2,-y+1/2,-z+1/2'
'-x+1/2,y+1/2,z+1/2'
'-x,y+1/2,-z'
'x,-y+1/2,z'
loop_
_atom_site_label
_atom_site_type_symbol
_atom_site_fract_x
_atom_site_fract_y
_atom_site_fract_z
Li1 Li 0.0000 0.0000 0.0000
P1 P 0.0836 0.2500 0.4194
W1 W 0.2284 0.7500 0.4870
O1 O 0.0451 0.7500 0.7028
O2 O 0.0884 0.2500 0.7466
O3 O 0.1478 0.0469 0.2763
```

Peak list (6 most intense, 5 to 70 degrees two-theta, low angle first)
hkl, d [Å], I_rel
2 0 0, 5.594, 52
1 1 1, 3.538, 100
0 2 0, 3.067, 29
3 1 1, 2.637, 62
1 3 1, 1.849, 18
2 2 2, 1.769, 20